The following is a calculated powder diffractogram of Tb12TmIn3. It was derived from a DFT-relaxed cell (GGA-PBE, Alexandria), using a wavelength of 1.5418 Å.
Kinematic intensities with the Lorentz-polarization factor, no thermal factor.

Principal peaks in the range 15° ≤ 2θ ≤ 90°, in order of rising 2θ:
d = 2.829 Å, 31.63°, intensity 100; d = 2.476 Å, 36.29°, intensity 17; d = 2.437 Å, 36.88°, intensity 33; d = 1.737 Å, 52.70°, intensity 23; d = 1.723 Å, 53.14°, intensity 12; d = 1.489 Å, 62.38°, intensity 13; d = 1.472 Å, 63.18°, intensity 28; d = 1.414 Å, 66.06°, intensity 12; d = 1.127 Å, 86.37°, intensity 11; d = 1.119 Å, 87.07°, intensity 6

Cell and atoms:
Unit cell a=4.874 b=4.874 c=19.805 alpha=90.00 beta=90.00 gamma=90.00
Space group P4/mmm (No. 123)
Symmetry-distinct sites (fractional):
Tb  0.000  0.000  0.000 x1
Tb  0.000  0.000  0.246 x2
Tb  0.000  0.000  0.500 x1
Tb  0.000  0.500  0.123 x4
Tb  0.000  0.500  0.370 x4
Tm  0.500  0.500  0.500 x1
In  0.500  0.500  0.000 x1
In  0.500  0.500  0.244 x2